Theoretical powder XRD pattern of Mg2ScAu2 for Cu Kα (λ = 1.5418 Å), from a structure optimized by DFT (GGA-PBE).
Kinematic intensities with the Lorentz-polarization factor, no thermal factor.

Cell: 4.6488 4.6332 9.8802 Å, 90.00 90.34 90.00°
Fractional coordinates of all 10 atoms:
Mg  0.2481  0.2500  0.0070
Mg  0.2491  0.2500  0.3268
Mg  0.7509  0.7500  0.6732
Mg  0.7519  0.7500  0.9930
Sc  0.2523  0.2500  0.6736
Sc  0.7477  0.7500  0.3264
Au  0.2494  0.7500  0.4909
Au  0.2513  0.7500  0.8366
Au  0.7487  0.2500  0.1634
Au  0.7506  0.2500  0.5091

Most intense lines, 5 to 70 degrees two-theta, by angle:
2θ (°), intensity
9.0, 43
21.1, 39
21.2, 25
26.4, 47
27.1, 92
38.7, 100
38.8, 99
48.0, 21
56.0, 23
63.3, 18

Theoretical powder XRD pattern of Mg3ScAu3 for Cu Kα (λ = 1.5418 Å), from a structure optimized by DFT (GGA-PBE).
Kinematic intensities with the Lorentz-polarization factor, no thermal factor.

Cell: 8.1956 8.1956 8.1956 Å, 90.00 90.00 90.00°
Fractional coordinates of all 28 atoms:
Mg  0.1125  0.3875  0.6125
Mg  0.1723  0.8277  0.3277
Mg  0.1888  0.1888  0.1888
Mg  0.3112  0.8112  0.6888
Mg  0.3277  0.1723  0.8277
Mg  0.3875  0.6125  0.1125
Mg  0.6125  0.1125  0.3875
Mg  0.6723  0.6723  0.6723
Mg  0.6888  0.3112  0.8112
Mg  0.8112  0.6888  0.3112
Mg  0.8277  0.3277  0.1723
Mg  0.8875  0.8875  0.8875
Sc  0.0560  0.5560  0.9440
Sc  0.4440  0.4440  0.4440
Sc  0.5560  0.9440  0.0560
Sc  0.9440  0.0560  0.5560
Au  0.0005  0.7113  0.6094
Au  0.1094  0.4995  0.2887
Au  0.2113  0.8906  0.9995
Au  0.2887  0.1094  0.4995
Au  0.3906  0.5005  0.7887
Au  0.4995  0.2887  0.1094
Au  0.5005  0.7887  0.3906
Au  0.6094  0.0005  0.7113
Au  0.7113  0.6094  0.0005
Au  0.7887  0.3906  0.5005
Au  0.8906  0.9995  0.2113
Au  0.9995  0.2113  0.8906

Most intense lines, 5 to 70 degrees two-theta, by angle:
2θ (°), intensity
26.6, 100
34.6, 63
36.4, 7
39.7, 17
41.2, 36
45.6, 15
49.8, 26
52.4, 14
57.3, 18
67.6, 12

Theoretical powder XRD pattern of MgSc5Au6 for Cu Kα (λ = 1.5418 Å), from a structure optimized by DFT (GGA-PBE).
Kinematic intensities with the Lorentz-polarization factor, no thermal factor.

Cell: 8.3097 8.3097 4.7897 Å, 106.73 106.73 120.08°
Fractional coordinates of all 12 atoms:
Mg  0.0000  0.0000  0.0000
Sc  0.1624  0.8376  0.5000
Sc  0.3319  0.6681  0.0000
Sc  0.5000  0.5000  0.5000
Sc  0.6681  0.3319  0.0000
Sc  0.8376  0.1624  0.5000
Au  0.0862  0.4268  0.2566
Au  0.2571  0.2571  0.7549
Au  0.4268  0.0862  0.2566
Au  0.5732  0.9138  0.7434
Au  0.7429  0.7429  0.2451
Au  0.9138  0.5732  0.7434

Most intense lines, 5 to 70 degrees two-theta, by angle:
2θ (°), intensity
26.3, 52
37.5, 100
46.4, 16
54.1, 17
61.1, 11
61.1, 11
67.7, 26
67.8, 9

Theoretical powder XRD pattern of Mg7ScAu4 for Cu Kα (λ = 1.5418 Å), from a structure optimized by DFT (GGA-PBE).
Kinematic intensities with the Lorentz-polarization factor, no thermal factor.

Cell: 6.8824 6.8824 9.5347 Å, 122.72 122.72 42.85°
Fractional coordinates of all 12 atoms:
Mg  0.0000  0.0000  0.0000
Mg  0.1793  0.1793  0.6179
Mg  0.2837  0.2837  0.1247
Mg  0.4347  0.4347  0.6270
Mg  0.5653  0.5653  0.3730
Mg  0.7163  0.7163  0.8753
Mg  0.8207  0.8207  0.3821
Sc  0.5000  0.5000  0.0000
Au  0.0706  0.0706  0.7865
Au  0.1966  0.1966  0.3320
Au  0.8034  0.8034  0.6680
Au  0.9294  0.9294  0.2135

Most intense lines, 5 to 70 degrees two-theta, by angle:
2θ (°), intensity
19.0, 30
19.6, 79
22.9, 35
26.2, 100
27.6, 27
35.7, 51
38.4, 59
39.0, 30
40.7, 60
41.8, 30

Theoretical powder XRD pattern of MgSc3Au4 for Cu Kα (λ = 1.5418 Å), from a structure optimized by DFT (GGA-PBE).
Kinematic intensities with the Lorentz-polarization factor, no thermal factor.

Cell: 8.2928 8.2928 8.2928 Å, 33.49 33.49 33.49°
Fractional coordinates of all 8 atoms:
Mg  0.0000  0.0000  0.0000
Sc  0.2532  0.2532  0.2532
Sc  0.5000  0.5000  0.5000
Sc  0.7468  0.7468  0.7468
Au  0.1292  0.1292  0.1292
Au  0.3773  0.3773  0.3773
Au  0.6227  0.6227  0.6227
Au  0.8708  0.8708  0.8708

Most intense lines, 5 to 70 degrees two-theta, by angle:
2θ (°), intensity
11.3, 1
26.4, 54
34.4, 1
37.6, 100
46.5, 16
51.9, 1
54.3, 17
61.3, 22
67.8, 8
67.9, 26

Theoretical powder XRD pattern of ThMgSc2Au4 for Cu Kα (λ = 1.5418 Å), from a structure optimized by DFT (GGA-PBE).
Kinematic intensities with the Lorentz-polarization factor, no thermal factor.

Cell: 9.0796 9.0796 9.0796 Å, 30.41 30.41 30.41°
Fractional coordinates of all 8 atoms:
Th  0.0000  0.0000  0.0000
Mg  0.5000  0.5000  0.5000
Sc  0.2395  0.2395  0.2395
Sc  0.7605  0.7605  0.7605
Au  0.1246  0.1246  0.1246
Au  0.3920  0.3920  0.3920
Au  0.6080  0.6080  0.6080
Au  0.8754  0.8754  0.8754

Most intense lines, 5 to 70 degrees two-theta, by angle:
2θ (°), intensity
22.6, 17
25.6, 37
27.6, 19
32.5, 20
35.2, 91
37.8, 100
41.1, 18
52.6, 29
66.5, 29
68.2, 18

Theoretical powder XRD pattern of MgSiAu2 for Cu Kα (λ = 1.5418 Å), from a structure optimized by DFT (GGA-PBE).
Kinematic intensities with the Lorentz-polarization factor, no thermal factor.

Cell: 3.4735 3.4735 5.8044 Å, 90.00 90.00 90.00°
Fractional coordinates of all 4 atoms:
Mg  0.0000  0.0000  0.0000
Si  0.0000  0.0000  0.5000
Au  0.5000  0.5000  0.2516
Au  0.5000  0.5000  0.7484

Most intense lines, 5 to 70 degrees two-theta, by angle:
2θ (°), intensity
25.6, 93
30.8, 30
36.6, 66
40.5, 100
48.6, 35
52.7, 23
59.5, 19
62.3, 17
64.2, 6
68.5, 43

Theoretical powder XRD pattern of Mg2SiTe4Au for Cu Kα (λ = 1.5418 Å), from a structure optimized by DFT (GGA-PBE).
Kinematic intensities with the Lorentz-polarization factor, no thermal factor.

Cell: 7.7368 7.5165 6.5923 Å, 66.13 62.68 51.19°
Fractional coordinates of all 8 atoms:
Mg  0.0000  0.0000  0.5000
Mg  0.5000  0.5000  0.0000
Si  0.2421  0.2421  0.7579
Te  0.1392  0.6113  0.8608
Te  0.3898  0.8912  0.1088
Te  0.6113  0.1392  0.3887
Te  0.8912  0.3898  0.6102
Au  0.7494  0.7494  0.2506

Most intense lines, 5 to 70 degrees two-theta, by angle:
2θ (°), intensity
14.7, 23
15.3, 37
23.6, 94
24.8, 100
37.2, 36
40.3, 23
40.6, 88
45.2, 39
47.2, 29
69.3, 20